[1]
# Al2BiTe6
Computed powder XRD pattern, copper Kα. Input: a GGA-PBE-relaxed structure.

Atomic structure:
```
18
Lattice="8.664 -6.599 0.000 8.664 6.599 0.000 -2.070 0.000 7.505" Properties=species:S:1:pos:R:3 pbc="T T T"
Al 3.782 0.843 1.884
Al 2.747 -0.843 5.636
Al 12.510 0.843 1.868
Al 11.475 -0.843 5.621
Bi 7.111 0.964 5.629
Bi 8.146 -0.964 1.876
Te 3.199 3.265 6.514
Te 2.073 0.942 3.860
Te 3.108 -0.942 0.108
Te 6.350 1.250 2.525
Te 11.022 3.265 4.743
Te 9.942 1.250 1.227
Te 5.315 -1.250 6.278
Te 4.234 -3.265 2.762
Te 8.907 -1.250 4.979
Te 12.149 0.942 7.397
Te 13.184 -0.942 3.645
Te 12.057 -3.265 0.991
```

Largest 6 diffraction maxima, sorted by position, 2θ from 10° to 90°:
d/Å, I/Imax
5.130, 100
3.814, 81
3.598, 76
3.512, 92
3.354, 77
3.126, 54

[2]
# La2BeOs2
Computed powder XRD pattern, copper Kα. Input: a GGA-PBE-relaxed structure.

Atomic structure:
```
10
Lattice="6.523 0.000 0.000 0.000 6.523 0.000 0.000 0.000 4.777" Properties=species:S:1:pos:R:3 pbc="T T T"
La 1.197 2.065 0.000
La 2.065 5.326 0.000
La 4.458 1.197 0.000
La 5.326 4.458 0.000
Be 0.000 0.000 2.388
Be 3.261 3.261 2.388
Os 0.911 4.173 2.388
Os 2.350 0.911 2.388
Os 4.173 5.611 2.388
Os 5.611 2.350 2.388
```

Largest 6 diffraction maxima, sorted by position, 2θ from 10° to 90°:
d/Å, I/Imax
4.612, 20
3.261, 14
2.490, 100
2.388, 22
2.063, 14
1.398, 17

[3]
# PuFe3H6
Computed powder XRD pattern, copper Kα. Input: a GGA-PBE-relaxed structure.

Atomic structure:
```
10
Lattice="2.182 1.260 5.006 -2.182 1.260 5.006 0.000 -2.519 5.006" Properties=species:S:1:pos:R:3 pbc="T T T"
Pu 0.000 0.000 0.000
Fe 0.000 0.000 3.011
Fe 0.000 0.000 7.921
Fe 0.000 0.000 12.337
H -0.590 -1.255 6.856
H -0.792 1.139 6.856
H -1.100 0.610 9.151
H 0.022 -1.258 9.151
H 1.382 0.116 6.856
H 1.078 0.648 9.151
```

Largest 6 diffraction maxima, sorted by position, 2θ from 10° to 90°:
d/Å, I/Imax
3.664, 100
3.375, 72
2.663, 78
2.351, 60
2.182, 89
1.645, 52

[4]
# Tm2HgAu3
Computed powder XRD pattern, copper Kα. Input: a GGA-PBE-relaxed structure.

Atomic structure:
```
6
Lattice="4.750 0.000 0.000 0.000 3.760 0.000 -2.356 0.000 7.414" Properties=species:S:1:pos:R:3 pbc="T T T"
Tm 0.007 0.000 2.322
Tm 2.387 0.000 5.092
Hg 2.375 0.000 0.000
Au 0.000 1.880 0.000
Au 0.009 1.880 4.644
Au 2.384 1.880 2.770
```

Largest 6 diffraction maxima, sorted by position, 2θ from 10° to 90°:
d/Å, I/Imax
2.532, 100
2.471, 19
2.375, 22
1.880, 11
1.438, 11
1.399, 16